1.
Structure and computed X-ray diffraction stick pattern of Nd4RuSe2Br (a DFT-relaxed cell (PBE, Alexandria); CuKα).

Structural model:
Lattice parameters (Å, degrees): 7.445 4.113 7.516 90.00 107.09 90.00
Atoms (fractional coordinates):
Nd (0.234, 0.000, 0.224)
Nd (0.249, 0.500, 0.782)
Nd (0.751, 0.500, 0.218)
Nd (0.766, 0.000, 0.776)
Ru (0.000, 0.500, 0.000)
Se (0.500, 0.000, 0.000)
Se (0.500, 0.500, 0.500)
Br (0.000, 0.000, 0.500)

Most intense lines, 2θ from 10° to 80°, low angle first:
2theta	I/Imax
29.59	100
29.70	48
40.60	19
42.27	33
42.57	37
54.01	18



2.
Structure and computed X-ray diffraction stick pattern of Nd3S2Br5 (a DFT-relaxed cell (PBE, Alexandria); CuKα).

Structural model:
Lattice parameters (Å, degrees): 7.261 22.774 6.924 90.00 90.00 90.00
Atoms (fractional coordinates):
Nd (0.048, 0.250, 0.057)
Nd (0.120, 0.104, 0.445)
Nd (0.120, 0.396, 0.445)
Nd (0.380, 0.604, 0.945)
Nd (0.380, 0.896, 0.945)
Nd (0.452, 0.750, 0.557)
Nd (0.548, 0.250, 0.443)
Nd (0.620, 0.104, 0.055)
Nd (0.620, 0.396, 0.055)
Nd (0.880, 0.604, 0.555)
Nd (0.880, 0.896, 0.555)
Nd (0.952, 0.750, 0.943)
S (0.165, 0.675, 0.698)
S (0.165, 0.825, 0.698)
S (0.335, 0.175, 0.198)
S (0.335, 0.325, 0.198)
S (0.665, 0.675, 0.802)
S (0.665, 0.825, 0.802)
S (0.835, 0.175, 0.302)
S (0.835, 0.325, 0.302)
Br (0.021, 0.620, 0.152)
Br (0.021, 0.880, 0.152)
Br (0.172, 0.250, 0.635)
Br (0.176, 0.521, 0.669)
Br (0.176, 0.979, 0.669)
Br (0.324, 0.021, 0.169)
Br (0.324, 0.479, 0.169)
Br (0.328, 0.750, 0.135)
Br (0.479, 0.120, 0.652)
Br (0.479, 0.380, 0.652)
Br (0.521, 0.620, 0.348)
Br (0.521, 0.880, 0.348)
Br (0.672, 0.250, 0.865)
Br (0.676, 0.521, 0.831)
Br (0.676, 0.979, 0.831)
Br (0.824, 0.021, 0.331)
Br (0.824, 0.479, 0.331)
Br (0.828, 0.750, 0.365)
Br (0.979, 0.120, 0.848)
Br (0.979, 0.380, 0.848)

Most intense lines, 2θ from 10° to 80°, low angle first:
2theta	I/Imax
19.35	65
30.95	100
31.43	51
32.69	46
37.11	62
39.44	43



3.
Structure and computed X-ray diffraction stick pattern of TbNdSBr (a DFT-relaxed cell (PBE, Alexandria); CuKα).

Structural model:
Lattice parameters (Å, degrees): 6.754 3.904 7.997 90.00 106.24 90.00
Atoms (fractional coordinates):
Tb (0.000, 0.000, 0.000)
Tb (0.500, 0.500, 0.000)
Nd (0.301, 0.500, 0.404)
Nd (0.801, 0.000, 0.404)
S (0.397, 0.000, 0.191)
S (0.897, 0.500, 0.191)
Br (0.074, 0.500, 0.721)
Br (0.574, 0.000, 0.721)

Most intense lines, 2θ from 10° to 80°, low angle first:
2theta	I/Imax
26.66	37
30.68	47
32.87	100
46.55	42
47.79	25
77.57	17



4.
Structure and computed X-ray diffraction stick pattern of Nd3Se3Br (a DFT-relaxed cell (PBE, Alexandria); CuKα).

Structural model:
Lattice parameters (Å, degrees): 7.856 7.856 7.856 69.39 69.39 69.39
Atoms (fractional coordinates):
Nd (0.083, 0.720, 0.437)
Nd (0.280, 0.563, 0.917)
Nd (0.437, 0.083, 0.720)
Nd (0.563, 0.917, 0.280)
Nd (0.720, 0.437, 0.083)
Nd (0.917, 0.280, 0.563)
Se (0.090, 0.384, 0.789)
Se (0.211, 0.910, 0.616)
Se (0.384, 0.789, 0.090)
Se (0.616, 0.211, 0.910)
Se (0.789, 0.090, 0.384)
Se (0.910, 0.616, 0.211)
Br (0.329, 0.329, 0.329)
Br (0.671, 0.671, 0.671)

Most intense lines, 2θ from 10° to 80°, low angle first:
2theta	I/Imax
19.86	51
24.95	34
30.19	35
34.75	100
36.40	63
46.68	50



5.
Structure and computed X-ray diffraction stick pattern of Nd3TeSeBr (a DFT-relaxed cell (PBE, Alexandria); CuKα).

Structural model:
Lattice parameters (Å, degrees): 8.627 4.247 10.127 90.00 102.57 90.00
Atoms (fractional coordinates):
Nd (0.073, 0.250, 0.349)
Nd (0.196, 0.250, 0.994)
Nd (0.395, 0.750, 0.609)
Nd (0.605, 0.250, 0.391)
Nd (0.804, 0.750, 0.006)
Nd (0.927, 0.750, 0.651)
Te (0.316, 0.750, 0.270)
Te (0.684, 0.250, 0.730)
Se (0.162, 0.250, 0.649)
Se (0.838, 0.750, 0.351)
Br (0.392, 0.750, 0.899)
Br (0.608, 0.250, 0.101)

Most intense lines, 2θ from 10° to 80°, low angle first:
2theta	I/Imax
27.06	29
29.88	100
31.23	18
34.26	24
34.45	16
42.58	23



6.
Structure and computed X-ray diffraction stick pattern of Nd3SiBr3 (a DFT-relaxed cell (PBE, Alexandria); CuKα).

Structural model:
Lattice parameters (Å, degrees): 10.418 10.418 10.418 109.47 109.47 109.47
Atoms (fractional coordinates):
Nd (0.011, 0.022, 0.261)
Nd (0.011, 0.489, 0.750)
Nd (0.022, 0.261, 0.011)
Nd (0.239, 0.261, 0.750)
Nd (0.239, 0.478, 0.489)
Nd (0.261, 0.011, 0.022)
Nd (0.261, 0.750, 0.239)
Nd (0.478, 0.489, 0.239)
Nd (0.489, 0.239, 0.478)
Nd (0.489, 0.750, 0.011)
Nd (0.750, 0.011, 0.489)
Nd (0.750, 0.239, 0.261)
Si (0.000, 0.250, 0.500)
Si (0.250, 0.250, 0.250)
Si (0.250, 0.500, 0.000)
Si (0.500, 0.000, 0.250)
Br (0.250, 0.754, 0.746)
Br (0.250, 0.996, 0.504)
Br (0.504, 0.250, 0.996)
Br (0.504, 0.754, 0.509)
Br (0.509, 0.504, 0.754)
Br (0.746, 0.250, 0.754)
Br (0.746, 0.996, 0.991)
Br (0.754, 0.509, 0.504)
Br (0.754, 0.746, 0.250)
Br (0.991, 0.746, 0.996)
Br (0.996, 0.504, 0.250)
Br (0.996, 0.991, 0.746)

Most intense lines, 2θ from 10° to 80°, low angle first:
2theta	I/Imax
27.75	30
29.71	100
42.51	72
52.72	25
69.95	29
77.79	21



7.
Structure and computed X-ray diffraction stick pattern of Nd3Si2Br2 (a DFT-relaxed cell (PBE, Alexandria); CuKα).

Structural model:
Lattice parameters (Å, degrees): 4.185 7.350 7.915 77.86 89.94 73.69
Atoms (fractional coordinates):
Nd (0.000, 0.000, 0.000)
Nd (0.237, 0.523, 0.769)
Nd (0.763, 0.477, 0.231)
Si (0.378, 0.246, 0.105)
Si (0.622, 0.754, 0.895)
Br (0.138, 0.728, 0.371)
Br (0.862, 0.272, 0.629)

Most intense lines, 2θ from 10° to 80°, low angle first:
2theta	I/Imax
12.86	23
22.20	27
25.92	21
28.88	56
29.49	100
40.43	41



8.
Structure and computed X-ray diffraction stick pattern of Nd2Si2Br (a DFT-relaxed cell (PBE, Alexandria); CuKα).

Structural model:
Lattice parameters (Å, degrees): 9.556 9.556 9.556 130.26 55.82 156.27
Atoms (fractional coordinates):
Nd (0.353, 0.000, 0.853)
Nd (0.353, 0.500, 0.353)
Nd (0.647, 0.000, 0.147)
Nd (0.647, 0.500, 0.647)
Si (0.209, 0.250, 0.959)
Si (0.209, 0.750, 0.459)
Si (0.791, 0.250, 0.541)
Si (0.791, 0.750, 0.041)
Br (0.497, 0.247, 0.250)
Br (0.503, 0.753, 0.750)

Most intense lines, 2θ from 10° to 80°, low angle first:
2theta	I/Imax
23.24	57
30.72	62
35.72	100
44.05	32
56.52	22
64.88	22



9.
Structure and computed X-ray diffraction stick pattern of Nd2Sm2Br7 (a DFT-relaxed cell (PBE, Alexandria); CuKα).

Structural model:
Lattice parameters (Å, degrees): 7.557 7.557 7.884 91.10 91.10 109.12
Atoms (fractional coordinates):
Nd (0.195, 0.195, 0.361)
Nd (0.805, 0.805, 0.639)
Sm (0.142, 0.858, 0.000)
Sm (0.858, 0.142, 0.000)
Br (0.084, 0.487, 0.208)
Br (0.140, 0.140, 0.737)
Br (0.487, 0.084, 0.208)
Br (0.500, 0.500, 0.500)
Br (0.513, 0.916, 0.792)
Br (0.860, 0.860, 0.263)
Br (0.916, 0.513, 0.792)

Most intense lines, 2θ from 10° to 80°, low angle first:
2theta	I/Imax
12.40	100
16.53	88
18.29	91
31.03	61
32.89	97
37.81	67



10.
Structure and computed X-ray diffraction stick pattern of TbNdTe2Br (a DFT-relaxed cell (PBE, Alexandria); CuKα).

Structural model:
Lattice parameters (Å, degrees): 4.448 4.448 15.124 90.00 90.00 90.00
Atoms (fractional coordinates):
Tb (0.250, 0.250, 0.085)
Tb (0.750, 0.750, 0.915)
Nd (0.250, 0.250, 0.643)
Nd (0.750, 0.750, 0.357)
Te (0.250, 0.250, 0.292)
Te (0.250, 0.250, 0.879)
Te (0.750, 0.750, 0.121)
Te (0.750, 0.750, 0.708)
Br (0.250, 0.750, 0.500)
Br (0.750, 0.250, 0.500)

Most intense lines, 2θ from 10° to 80°, low angle first:
2theta	I/Imax
28.38	100
29.53	34
35.90	50
37.18	58
40.56	70
58.72	48



11.
Structure and computed X-ray diffraction stick pattern of Nd3Tl6Br14 (a DFT-relaxed cell (PBE, Alexandria); CuKα).

Structural model:
Lattice parameters (Å, degrees): 11.235 11.235 8.180 90.00 90.00 120.00
Atoms (fractional coordinates):
Nd (0.000, 0.000, 0.000)
Nd (0.333, 0.667, 0.514)
Nd (0.667, 0.333, 0.445)
Tl (0.123, 0.251, 0.382)
Tl (0.127, 0.877, 0.382)
Tl (0.509, 0.489, 0.904)
Tl (0.511, 0.020, 0.904)
Tl (0.749, 0.873, 0.382)
Tl (0.980, 0.491, 0.904)
Br (0.000, 0.000, 0.656)
Br (0.084, 0.543, 0.316)
Br (0.215, 0.430, 0.738)
Br (0.216, 0.785, 0.738)
Br (0.279, 0.141, 0.076)
Br (0.416, 0.207, 0.605)
Br (0.457, 0.541, 0.316)
Br (0.459, 0.916, 0.316)
Br (0.570, 0.784, 0.738)
Br (0.667, 0.333, 0.102)
Br (0.792, 0.584, 0.605)
Br (0.793, 0.208, 0.605)
Br (0.859, 0.138, 0.076)
Br (0.862, 0.721, 0.076)

Most intense lines, 2θ from 10° to 80°, low angle first:
2theta	I/Imax
21.25	100
28.51	59
29.63	60
31.86	71
32.76	50
37.83	42



12.
Structure and computed X-ray diffraction stick pattern of Nd2Tl5Br12 (a DFT-relaxed cell (PBE, Alexandria); CuKα).

Structural model:
Lattice parameters (Å, degrees): 9.966 9.966 10.415 107.63 107.63 51.58
Atoms (fractional coordinates):
Nd (0.247, 0.753, 0.000)
Nd (0.753, 0.247, 0.000)
Tl (0.186, 0.186, 0.811)
Tl (0.221, 0.221, 0.378)
Tl (0.500, 0.500, 0.500)
Tl (0.779, 0.779, 0.622)
Tl (0.814, 0.814, 0.189)
Br (0.006, 0.006, 0.198)
Br (0.063, 0.601, 0.910)
Br (0.132, 0.609, 0.443)
Br (0.391, 0.868, 0.557)
Br (0.399, 0.937, 0.090)
Br (0.500, 0.500, 0.187)
Br (0.500, 0.500, 0.813)
Br (0.601, 0.063, 0.910)
Br (0.609, 0.132, 0.443)
Br (0.868, 0.391, 0.557)
Br (0.937, 0.399, 0.090)
Br (0.994, 0.994, 0.802)

Most intense lines, 2θ from 10° to 80°, low angle first:
2theta	I/Imax
18.78	79
19.91	100
27.46	50
29.52	42
33.03	49
34.49	45